# 1
This entry pairs a crystal structure of PaB3H12 with its calculated powder X-ray diffraction pattern. Radiation: a wavelength of 1.5418 Å. Structure: a DFT-relaxed cell (GGA-PBE, Alexandria).
Lines closer than 0.1° are merged.

The 10 most intense peaks (2θ from 5° to 70°), most intense first:
2θ/deg	d_spacing	I_rel
15.74	5.629	100
22.28	3.989	34
22.39	3.970	34
39.26	2.295	26
35.60	2.522	26
35.74	2.512	25
31.80	2.814	21
27.49	3.244	17
48.52	1.876	11
48.63	1.872	11

Structure:
```
32
Lattice="3.970 2.292 6.531 -3.970 2.292 6.531 0.000 -4.585 6.531" Properties=species:S:1:pos:R:3 pbc="T T T"
Pa 0.000 0.000 0.000
Pa 0.000 0.000 9.796
B -1.990 1.137 8.163
B -1.980 -1.155 11.428
B 0.010 -2.292 8.163
B -0.010 2.292 11.428
B 1.980 1.155 8.163
B 1.990 -1.137 11.428
H -3.208 0.999 8.351
H -2.469 -2.279 11.241
H -0.717 -2.427 7.168
H -1.502 0.014 7.976
H -2.227 -0.458 10.433
H -0.717 -2.158 9.158
H -1.744 1.834 7.168
H 0.739 -3.277 8.351
H -2.460 -0.593 12.423
H -1.510 1.700 9.158
H -0.763 -1.294 11.616
H 0.739 -1.307 7.976
H -0.739 1.307 11.616
H 0.763 1.294 7.976
H 1.510 -1.700 10.433
H 2.460 0.593 7.168
H -0.739 3.277 11.241
H 1.744 -1.834 12.423
H 0.717 2.158 10.433
H 2.227 0.458 9.158
H 1.502 -0.014 11.616
H 0.717 2.427 12.423
H 2.469 2.279 8.351
H 3.208 -0.999 11.241
```

# 2
This entry pairs a crystal structure of Ac3Sn3Ru with its calculated powder X-ray diffraction pattern. Radiation: a wavelength of 1.5418 Å. Structure: a DFT-relaxed cell (GGA-PBE, Alexandria).
Lines closer than 0.1° are merged.

The 10 most intense peaks (2θ from 5° to 70°), most intense first:
2θ/deg	d_spacing	I_rel
29.23	3.055	100
29.11	3.068	84
28.48	3.134	73
34.84	2.575	67
38.28	2.352	65
33.35	2.687	56
29.44	3.034	52
56.44	1.630	40
35.25	2.546	35
35.49	2.529	30

Structure:
```
14
Lattice="6.084 -2.352 0.000 6.084 2.352 0.000 -5.002 0.000 15.276" Properties=species:S:1:pos:R:3 pbc="T T T"
Ac -1.694 0.000 5.894
Ac -3.318 0.000 14.020
Ac 1.754 0.000 3.723
Ac 5.411 0.000 11.553
Ac 10.483 0.000 1.256
Ac 8.859 0.000 9.382
Sn 1.706 0.000 7.099
Sn 0.086 0.000 14.130
Sn 1.834 0.000 11.631
Sn 5.331 0.000 3.645
Sn 7.079 0.000 1.145
Sn 5.459 0.000 8.177
Ru 0.058 0.000 9.441
Ru 7.107 0.000 5.835
```

# 3
This entry pairs a crystal structure of Ho3Al3Cu2 with its calculated powder X-ray diffraction pattern. Radiation: a wavelength of 1.5418 Å. Structure: a DFT-relaxed cell (GGA-PBE, Alexandria).
Lines closer than 0.1° are merged.

The 10 most intense peaks (2θ from 5° to 70°), most intense first:
2θ/deg	d_spacing	I_rel
33.12	2.705	100
34.32	2.613	93
36.84	2.440	89
38.59	2.333	69
31.19	2.868	52
37.24	2.414	50
26.59	3.352	46
27.99	3.187	44
55.92	1.644	43
24.12	3.690	29

Structure:
```
32
Lattice="8.018 0.000 0.000 0.000 14.657 0.000 0.000 0.000 5.629" Properties=species:S:1:pos:R:3 pbc="T T T"
Ho 0.301 1.637 0.669
Ho 0.301 5.692 0.669
Ho 1.469 3.664 3.460
Ho 2.540 10.993 0.645
Ho 3.708 8.965 3.484
Ho 3.708 13.020 3.484
Ho 4.310 1.637 2.145
Ho 4.310 5.692 2.145
Ho 5.478 3.664 4.983
Ho 6.549 10.993 2.169
Ho 7.717 8.965 4.959
Ho 7.717 13.020 4.959
Al 1.363 10.993 3.393
Al 1.511 0.527 3.437
Al 1.511 6.801 3.437
Al 2.498 7.856 0.622
Al 2.498 14.130 0.622
Al 2.646 3.664 0.579
Al 5.373 10.993 5.050
Al 5.520 0.527 5.007
Al 5.520 6.801 5.007
Al 6.507 7.856 2.192
Al 6.507 14.130 2.192
Al 6.655 3.664 2.236
Cu 0.781 8.868 2.116
Cu 0.781 13.118 2.116
Cu 3.228 1.539 4.931
Cu 3.228 5.789 4.931
Cu 4.790 8.868 0.698
Cu 4.790 13.118 0.698
Cu 7.237 1.539 3.512
Cu 7.237 5.789 3.512
```

# 4
This entry pairs a crystal structure of KUZn2Br8 with its calculated powder X-ray diffraction pattern. Radiation: a wavelength of 1.5418 Å. Structure: a DFT-relaxed cell (GGA-PBE, Alexandria).
Lines closer than 0.1° are merged.

The 10 most intense peaks (2θ from 5° to 70°), most intense first:
2θ/deg	d_spacing	I_rel
31.19	2.868	100
43.91	2.062	75
27.22	3.276	71
8.60	10.277	67
45.46	1.995	65
18.77	4.728	64
15.08	5.876	55
20.68	4.295	44
25.78	3.456	29
65.05	1.434	23

Structure:
```
12
Lattice="3.456 1.995 10.277 -3.456 1.995 10.277 0.000 -3.991 10.277" Properties=species:S:1:pos:R:3 pbc="T T T"
K 0.000 0.000 0.000
U 0.000 0.000 15.415
Zn 0.000 0.000 7.751
Zn 0.000 0.000 23.078
Br -1.136 -2.061 13.681
Br -2.353 -0.046 17.148
Br 0.000 0.000 10.100
Br -1.217 2.014 13.681
Br 1.217 -2.014 17.148
Br 0.000 0.000 20.730
Br 2.353 0.046 13.681
Br 1.136 2.061 17.148
```

# 5
This entry pairs a crystal structure of Sc3TlS with its calculated powder X-ray diffraction pattern. Radiation: a wavelength of 1.5418 Å. Structure: a DFT-relaxed cell (GGA-PBE, Alexandria).
Lines closer than 0.1° are merged.

The 10 most intense peaks (2θ from 5° to 70°), most intense first:
2θ/deg	d_spacing	I_rel
23.96	3.714	100
27.32	3.265	96
25.22	3.532	96
11.53	7.677	92
41.54	2.174	72
31.23	2.864	71
32.60	2.747	70
34.36	2.610	62
18.38	4.826	58
37.25	2.414	56

Structure:
```
20
Lattice="8.411 0.000 0.000 0.000 6.206 0.000 -3.843 0.000 8.589" Properties=species:S:1:pos:R:3 pbc="T T T"
Sc -0.839 0.570 2.913
Sc -2.760 2.533 7.208
Sc -0.330 3.513 4.628
Sc 1.592 5.796 0.333
Sc 0.137 0.872 6.838
Sc 2.058 2.231 2.543
Sc 2.509 3.975 6.046
Sc 4.431 5.334 1.751
Sc 2.975 0.410 8.256
Sc 4.897 2.693 3.962
Sc 7.328 3.673 1.381
Sc 5.406 5.636 5.676
Tl -0.144 4.181 7.531
Tl 1.778 5.128 3.236
Tl 2.790 1.078 5.353
Tl 4.711 2.025 1.059
S -1.652 1.473 5.152
S 0.270 1.630 0.858
S 4.298 4.576 7.732
S 6.219 4.732 3.437
```

# 6
This entry pairs a crystal structure of PmThCuPt with its calculated powder X-ray diffraction pattern. Radiation: a wavelength of 1.5418 Å. Structure: a DFT-relaxed cell (GGA-PBE, Alexandria).
Lines closer than 0.1° are merged.

The 10 most intense peaks (2θ from 5° to 70°), most intense first:
2θ/deg	d_spacing	I_rel
31.74	2.819	100
39.12	2.302	50
15.69	5.648	22
41.05	2.199	19
33.15	2.702	15
46.81	1.941	13
52.77	1.735	12
37.86	2.376	11
63.99	1.455	10
57.64	1.599	10

Structure:
```
4
Lattice="4.397 0.000 0.000 0.000 1.941 5.648 0.000 -1.941 5.648" Properties=species:S:1:pos:R:3 pbc="T T T"
Pm 0.000 0.000 0.000
Th 2.199 0.000 8.242
Cu 2.199 0.000 4.952
Pt 0.000 0.000 3.069
```

# 7
This entry pairs a crystal structure of Ho3Ga with its calculated powder X-ray diffraction pattern. Radiation: a wavelength of 1.5418 Å. Structure: a DFT-relaxed cell (GGA-PBE, Alexandria).
Lines closer than 0.1° are merged.

The 10 most intense peaks (2θ from 5° to 70°), most intense first:
2θ/deg	d_spacing	I_rel
30.57	2.924	100
34.09	2.630	85
31.30	2.858	59
37.93	2.372	45
33.30	2.691	45
31.54	2.836	25
26.64	3.346	21
53.72	1.706	21
55.26	1.662	21
38.13	2.360	21

Structure:
```
16
Lattice="-6.017 6.017 3.034 6.017 -6.017 3.034 6.017 6.017 -3.034" Properties=species:S:1:pos:R:3 pbc="T T T"
Ho 3.395 3.989 -1.519
Ho 5.560 1.638 -0.159
Ho 6.980 4.621 -1.535
Ho -0.963 1.396 1.498
Ho 2.622 2.028 1.515
Ho 4.380 -0.457 3.193
Ho 8.045 3.395 1.519
Ho 1.638 6.474 0.159
Ho 4.621 5.054 1.535
Ho 1.396 0.963 4.569
Ho 0.457 4.380 2.875
Ho -2.028 2.622 4.553
Ga 8.438 0.624 0.122
Ga 0.624 3.596 -0.122
Ga 5.393 2.421 2.912
Ga -2.421 5.393 3.156
```

# 8
This entry pairs a crystal structure of AcPH2Ir2 with its calculated powder X-ray diffraction pattern. Radiation: a wavelength of 1.5418 Å. Structure: a DFT-relaxed cell (GGA-PBE, Alexandria).
Lines closer than 0.1° are merged.

The 10 most intense peaks (2θ from 5° to 70°), most intense first:
2θ/deg	d_spacing	I_rel
37.86	2.377	100
21.84	4.069	90
39.68	2.272	80
35.60	2.522	75
29.89	2.989	68
30.02	2.977	63
31.47	2.843	41
57.03	1.615	37
19.41	4.573	34
48.73	1.869	31

Structure:
```
12
Lattice="6.021 0.000 0.000 0.000 5.563 0.000 -0.900 0.000 5.978" Properties=species:S:1:pos:R:3 pbc="T T T"
Ac 0.952 1.391 1.758
Ac 4.169 4.172 4.220
P 2.160 4.172 0.705
P 2.961 1.391 5.274
H 0.070 1.391 4.369
H 0.874 4.172 3.690
H 4.247 1.391 2.288
H 5.051 4.172 1.609
Ir 1.135 0.002 4.812
Ir 1.135 2.780 4.812
Ir 3.986 5.561 1.166
Ir 3.986 2.784 1.166
```

# 9
This entry pairs a crystal structure of NbAgClF with its calculated powder X-ray diffraction pattern. Radiation: a wavelength of 1.5418 Å. Structure: a DFT-relaxed cell (GGA-PBE, Alexandria).
Lines closer than 0.1° are merged.

The 10 most intense peaks (2θ from 5° to 70°), most intense first:
2θ/deg	d_spacing	I_rel
35.39	2.536	100
19.44	4.565	58
37.27	2.412	38
35.97	2.497	35
42.35	2.134	32
40.26	2.240	28
37.71	2.386	27
28.85	3.094	23
48.53	1.876	17
63.05	1.474	17

Structure:
```
4
Lattice="4.647 -1.497 0.000 4.647 1.497 0.000 -0.947 0.000 4.994" Properties=species:S:1:pos:R:3 pbc="T T T"
Nb 0.000 0.000 0.000
Ag 4.977 0.000 2.583
Cl 2.454 0.000 0.607
F 7.253 0.000 3.374
```

# 10
This entry pairs a crystal structure of NaHgAs with its calculated powder X-ray diffraction pattern. Radiation: a wavelength of 1.5418 Å. Structure: a DFT-relaxed cell (GGA-PBE, Alexandria).
Lines closer than 0.1° are merged.

The 10 most intense peaks (2θ from 5° to 70°), most intense first:
2θ/deg	d_spacing	I_rel
27.85	3.204	100
13.82	6.407	84
44.28	2.046	33
28.16	3.168	33
34.03	2.634	30
23.81	3.737	30
49.53	1.840	23
44.86	2.020	23
27.75	3.215	22
48.73	1.869	22

Structure:
```
12
Lattice="0.000 5.256 6.507 5.155 0.000 6.507 5.155 5.256 0.000" Properties=species:S:1:pos:R:3 pbc="T T T"
Na 3.867 3.942 0.169
Na 6.444 6.570 3.422
Na 3.867 3.942 9.591
Na 6.444 6.570 12.845
Hg 5.155 2.628 3.253
Hg 2.578 5.256 3.253
Hg 2.578 2.628 6.507
Hg 5.155 5.256 6.507
As 3.867 1.138 4.880
As 6.444 3.766 8.134
As 3.867 6.746 4.880
As 6.444 9.374 8.134
```

# 11
This entry pairs a crystal structure of Sm5Cu2Pb with its calculated powder X-ray diffraction pattern. Radiation: a wavelength of 1.5418 Å. Structure: a DFT-relaxed cell (GGA-PBE, Alexandria).
Lines closer than 0.1° are merged.

The 10 most intense peaks (2θ from 5° to 70°), most intense first:
2θ/deg	d_spacing	I_rel
34.92	2.570	100
31.87	2.808	77
31.14	2.873	48
55.40	1.659	26
25.41	3.505	19
64.92	1.436	17
67.18	1.393	17
52.85	1.732	14
65.34	1.428	13
50.21	1.817	11

Structure:
```
16
Lattice="-4.063 4.063 6.633 4.063 -4.063 6.633 4.063 4.063 -6.633" Properties=species:S:1:pos:R:3 pbc="T T T"
Sm 0.000 0.000 0.000
Sm 5.314 1.251 -1.878
Sm 1.251 2.812 -1.878
Sm 5.314 1.251 1.878
Sm 1.251 2.812 1.878
Sm 0.000 0.000 6.633
Sm 2.812 1.251 4.755
Sm -1.251 2.812 4.755
Sm 2.812 1.251 8.511
Sm -1.251 2.812 8.511
Cu 3.009 1.054 0.000
Cu 3.009 -1.054 6.633
Cu 1.054 5.117 0.000
Cu 1.054 3.009 6.633
Pb 0.000 0.000 3.317
Pb 0.000 0.000 9.950
```

# 12
This entry pairs a crystal structure of KZnAg3 with its calculated powder X-ray diffraction pattern. Radiation: a wavelength of 1.5418 Å. Structure: a DFT-relaxed cell (GGA-PBE, Alexandria).
Lines closer than 0.1° are merged.

The 10 most intense peaks (2θ from 5° to 70°), most intense first:
2θ/deg	d_spacing	I_rel
13.35	6.631	100
37.48	2.400	67
27.06	3.295	66
41.66	2.168	61
45.03	2.013	60
36.02	2.493	59
35.49	2.529	51
18.49	4.799	49
52.55	1.742	44
26.89	3.315	38

Structure:
```
10
Lattice="-2.866 5.058 4.390 2.866 -5.058 4.390 2.866 5.058 -4.390" Properties=species:S:1:pos:R:3 pbc="T T T"
K 0.000 2.529 0.636
K 2.866 2.529 3.754
Zn 2.866 0.000 0.000
Zn 0.000 0.000 4.390
Ag 2.866 2.529 -1.109
Ag 1.433 4.700 -2.195
Ag 1.433 -0.359 2.195
Ag -1.433 5.417 2.195
Ag 1.433 5.417 2.195
Ag 0.000 2.529 5.498
```